For DyRhIO6, a structure optimized by DFT (GGA-PBE) gives the calculated powder XRD pattern in this record (a wavelength of 1.5418 Å).
Peak positions follow from Bragg's law for the DFT cell and can differ from measured ones.

Crystal structure
```
data_DyRhIO6
_symmetry_space_group_name_H-M 'P -3 1 c'
_symmetry_Int_Tables_number 163
_symmetry_space_group_name_Hall '-P 3 2c'
_cell_length_a 5.5251
_cell_length_b 5.5251
_cell_length_c 8.6930
_cell_angle_alpha 90.00
_cell_angle_beta 90.00
_cell_angle_gamma 120.00
loop_
_atom_site_label
_atom_site_type_symbol
_atom_site_fract_x
_atom_site_fract_y
_atom_site_fract_z
_atom_site_occupancy
Dy1 Dy 0.3333 0.6667 0.2500 1
Rh1 Rh 0.0000 0.0000 0.0000 1
I1 I 0.3333 0.6667 0.7500 1
O1 O 0.0234 0.3342 0.6219 1
```

Most intense lines, 10 to 80 degrees two-theta, low angle first:
- d = 4.346 Å, 2θ 20.4, intensity 17.2, (0 0 2)
- d = 3.217 Å, 2θ 27.7, intensity 100.0, (1 0 2)
- d = 2.763 Å, 2θ 32.4, intensity 62.3, (1 1 0)
- d = 2.331 Å, 2θ 38.6, intensity 26.4, (1 1 2)
- d = 2.096 Å, 2θ 43.2, intensity 29.8, (2 0 2)
- d = 1.708 Å, 2θ 53.7, intensity 47.5, (2 -1 4)
- d = 1.670 Å, 2θ 55.0, intensity 29.1, (3 -1 2)
- d = 1.595 Å, 2θ 57.8, intensity 22.2, (3 0 0)
- d = 1.286 Å, 2θ 73.7, intensity 10.3, (3 0 4)
- d = 1.269 Å, 2θ 74.8, intensity 11.6, (3 1 2)